# 1
The following is a computed powder XRD pattern of ZrUAu. It was derived from a cell relaxed with PBE, using CuKα.

Structure:
a b c (Å): 6.710 6.710 6.710
angles (deg): 90.00 90.00 90.00
Space group F-43m (No. 216)
Inequivalent atoms, fractional coordinates:
Zr 0.000 0.000 0.000 [4 per cell]
U 0.250 0.250 0.750 [4 per cell]
Au 0.000 0.000 0.500 [4 per cell]

Peak list (6 most intense, 10° ≤ 2θ ≤ 90°, sorted by position)
d/Å, 2θ (°), I_rel
3.874, 22.96, 545
2.372, 37.93, 1000
2.023, 44.80, 296
1.677, 54.72, 175
1.539, 60.11, 128
1.370, 68.51, 363

# 2
The following is a computed powder XRD pattern of Zn2Au9. It was derived from a cell relaxed with PBE, using CuKα.

Structure:
a b c (Å): 2.9024 2.9024 33.9908
angles (deg): 90.00 90.00 120.00
Space group P-3m1 (No. 164)
Inequivalent atoms, fractional coordinates:
Zn 0.3333 0.6667 0.3573 [2 per cell]
Au 0.0000 0.0000 0.0000 [1 per cell]
Au 0.0000 0.0000 0.2158 [2 per cell]
Au 0.3333 0.6667 0.1434 [2 per cell]
Au 0.3333 0.6667 0.7103 [2 per cell]
Au 0.3333 0.6667 0.9283 [2 per cell]

Peak list (6 most intense, 10° ≤ 2θ ≤ 90°, sorted by position)
d/Å, 2θ (°), I_rel
2.428, 37.03, 443
2.410, 37.31, 669
2.358, 38.17, 1000
2.093, 43.24, 794
1.451, 64.19, 353
1.246, 76.47, 331

# 3
The following is a computed powder XRD pattern of Zn3Au4. It was derived from a cell relaxed with PBE, using CuKα.

Structure:
a b c (Å): 6.268 6.268 6.268
angles (deg): 90.00 90.00 90.00
Space group Im-3m (No. 229)
Inequivalent atoms, fractional coordinates:
Zn 0.000 0.000 0.500 [6 per cell]
Au 0.250 0.250 0.250 [8 per cell]

Peak list (6 most intense, 10° ≤ 2θ ≤ 90°, sorted by position)
d/Å, 2θ (°), I_rel
3.134, 28.48, 418
2.216, 40.72, 1000
1.809, 50.44, 122
1.567, 58.95, 168
1.401, 66.75, 164
1.279, 74.11, 344

# 4
The following is a computed powder XRD pattern of ZnAu3. It was derived from a cell relaxed with PBE, using CuKα.

Structure:
a b c (Å): 16.886 5.714 5.707
angles (deg): 90.00 90.00 90.00
Space group Cmce (No. 64)
Inequivalent atoms, fractional coordinates:
Zn 0.136 0.000 0.000 [8 per cell]
Au 0.000 0.183 0.183 [8 per cell]
Au 0.119 0.000 0.500 [8 per cell]
Au 0.250 0.248 0.750 [8 per cell]

Peak list (6 most intense, 10° ≤ 2θ ≤ 90°, sorted by position)
d/Å, 2θ (°), I_rel
2.365, 38.05, 1000
2.111, 42.85, 213
2.019, 44.89, 274
1.459, 63.79, 181
1.262, 75.29, 162
1.222, 78.21, 142

# 5
The following is a computed powder XRD pattern of Zn3Au. It was derived from a cell relaxed with PBE, using CuKα.

Structure:
a b c (Å): 4.475 5.630 4.859
angles (deg): 90.00 90.00 90.00
Space group Pmmn (No. 59, origin choice 2)
Inequivalent atoms, fractional coordinates:
Zn 0.250 0.001 0.165 [4 per cell]
Zn 0.250 0.750 0.669 [2 per cell]
Au 0.250 0.250 0.664 [2 per cell]

Peak list (6 most intense, 10° ≤ 2θ ≤ 90°, sorted by position)
d/Å, 2θ (°), I_rel
3.503, 25.42, 158
2.434, 36.93, 244
2.238, 40.31, 255
2.138, 42.27, 1000
1.647, 55.81, 145
1.272, 74.62, 180

# 6
The following is a computed powder XRD pattern of ZnAu3. It was derived from a cell relaxed with PBE, using CuKα.

Structure:
a b c (Å): 5.706 5.706 33.934
angles (deg): 90.00 90.00 90.00
Space group I4_1/acd (No. 142, origin choice 2)
Inequivalent atoms, fractional coordinates:
Zn 0.000 0.250 0.057 [16 per cell]
Au 0.000 0.250 0.315 [16 per cell]
Au 0.183 0.067 0.125 [16 per cell]
Au 0.249 0.000 0.750 [16 per cell]

Peak list (6 most intense, 10° ≤ 2θ ≤ 90°, sorted by position)
d/Å, 2θ (°), I_rel
2.367, 38.01, 1000
2.121, 42.63, 216
2.017, 44.93, 272
1.462, 63.66, 194
1.267, 74.97, 124
1.222, 78.24, 153